For Y8Zn2Tc, DFT lattice parameters and positions (PBE) gives the computed PXRD pattern in this record (Cu Kα X-rays).
Lines closer than 0.1° are merged.

Structural model:
a = 17.517 Å, b = 5.218 Å, c = 6.833 Å
α = 90.00°, β = 108.96°, γ = 90.00°
Space group C2/m (No. 12)
Asymmetric unit:
Y1 0.027 0.000 0.293 [4 per cell]
Y2 0.091 0.500 0.936 [4 per cell]
Y3 0.162 0.500 0.468 [4 per cell]
Y4 0.196 0.000 0.807 [4 per cell]
Zn1 0.182 0.000 0.213 [4 per cell]
Tc1 0.000 0.500 0.500 [2 per cell]

The 6 most intense peaks (10° ≤ 2θ ≤ 90°), sorted by position:
2θ/deg  I_rel  (hkl)
31.16  750  5 1 -1
31.50  634  1 1 -2
32.00  477  5 1 0
34.37  1000  0 2 0
34.54  776  1 1 2
36.26  472  5 1 -2

For Y2ZnTc, DFT lattice parameters and positions (PBE) gives the computed PXRD pattern in this record (Cu Kα X-rays).
Lines closer than 0.1° are merged.

Structural model:
a = 3.530 Å, b = 3.516 Å, c = 7.013 Å
α = 90.00°, β = 90.11°, γ = 90.00°
Space group P2/m (No. 10)
Asymmetric unit:
Y1 0.000 0.000 0.233 [2 per cell]
Zn1 0.500 0.500 0.500 [1 per cell]
Tc1 0.500 0.500 0.000 [1 per cell]

The 6 most intense peaks (10° ≤ 2θ ≤ 90°), sorted by position:
2θ/deg  I_rel  (hkl)
36.08  1000  1 1 0
36.18  490  0 1 2
51.80  87  2 0 0
52.01  86  0 2 0
64.81  169  2 1 -2
64.97  246  1 2 2

For YZr3Tc, DFT lattice parameters and positions (PBE) gives the computed PXRD pattern in this record (Cu Kα X-rays).
Lines closer than 0.1° are merged.

Structural model:
a = 5.094 Å, b = 5.094 Å, c = 5.094 Å
α = 90.00°, β = 90.00°, γ = 90.00°
Space group Pm-3m (No. 221)
Asymmetric unit:
Y1 0.000 0.000 0.000 [1 per cell]
Zr1 0.000 0.500 0.500 [3 per cell]
Tc1 0.500 0.500 0.500 [1 per cell]

The 6 most intense peaks (10° ≤ 2θ ≤ 90°), sorted by position:
2θ/deg  I_rel  (hkl)
17.41  287  1 0 0
30.40  655  1 1 1
35.24  1000  2 0 0
50.69  691  2 2 0
60.26  263  3 1 1
85.20  299  4 2 0

For Zn22Tc, DFT lattice parameters and positions (PBE) gives the computed PXRD pattern in this record (Cu Kα X-rays).
Lines closer than 0.1° are merged.

Structural model:
a = 13.968 Å, b = 13.968 Å, c = 13.968 Å
α = 90.00°, β = 90.00°, γ = 90.00°
Space group Fd-3m (No. 227, origin choice 2)
Asymmetric unit:
Zn1 0.000 0.000 0.000 [16 per cell]
Zn2 0.000 0.000 0.500 [16 per cell]
Zn3 0.016 0.375 0.375 [48 per cell]
Zn4 0.062 0.062 0.819 [96 per cell]
Tc1 0.125 0.125 0.625 [8 per cell]

The 6 most intense peaks (10° ≤ 2θ ≤ 90°), sorted by position:
2θ/deg  I_rel  (hkl)
38.12  1000  5 3 1
40.86  542  6 2 0
42.44  889  5 3 3
42.95  959  6 2 2
46.43  296  7 1 1
77.28  531  8 8 0

For Zn3Tc, DFT lattice parameters and positions (PBE) gives the computed PXRD pattern in this record (Cu Kα X-rays).
Lines closer than 0.1° are merged.

Structural model:
a = 4.191 Å, b = 5.273 Å, c = 5.168 Å
α = 90.00°, β = 90.00°, γ = 90.00°
Space group Pmmn (No. 59, origin choice 2)
Asymmetric unit:
Zn1 0.250 0.001 0.151 [4 per cell]
Zn2 0.250 0.250 0.681 [2 per cell]
Tc1 0.250 0.750 0.627 [2 per cell]

The 6 most intense peaks (10° ≤ 2θ ≤ 90°), sorted by position:
2θ/deg  I_rel  (hkl)
38.32  397  0 2 1
41.04  818  1 0 2
43.17  415  2 0 0
44.21  1000  1 2 1
59.08  214  2 2 1
80.92  189  2 2 3

For Zn15Tc, DFT lattice parameters and positions (PBE) gives the computed PXRD pattern in this record (Cu Kα X-rays).
Lines closer than 0.1° are merged.

Structural model:
a = 5.5336 Å, b = 5.5336 Å, c = 8.8696 Å
α = 90.00°, β = 90.00°, γ = 120.00°
Space group P-6m2 (No. 187)
Asymmetric unit:
Zn1 0.0000 0.0000 0.0000 [1 per cell]
Zn2 0.0064 0.5032 0.5000 [3 per cell]
Zn3 0.3300 0.1650 0.2545 [6 per cell]
Zn4 0.3333 0.6667 0.2406 [2 per cell]
Zn5 0.5019 0.0037 0.0000 [3 per cell]
Tc1 0.0000 0.0000 0.5000 [1 per cell]

The 6 most intense peaks (10° ≤ 2θ ≤ 90°), sorted by position:
2θ/deg  I_rel  (hkl)
37.54  246  2 0 0
40.69  257  0 0 4
42.90  1000  2 0 2
67.73  159  2 2 0
75.58  166  2 0 6
82.12  178  2 2 4

For Zn3Tc, DFT lattice parameters and positions (PBE) gives the computed PXRD pattern in this record (Cu Kα X-rays).
Lines closer than 0.1° are merged.

Structural model:
a = 2.710 Å, b = 4.426 Å, c = 4.816 Å
α = 90.00°, β = 90.00°, γ = 90.00°
Space group Pmm2 (No. 25)
Asymmetric unit:
Zn1 0.000 0.000 0.000 [1 per cell]
Zn2 0.000 0.500 0.338 [1 per cell]
Zn3 0.500 0.500 0.818 [1 per cell]
Tc1 0.500 0.000 0.502 [1 per cell]

The 6 most intense peaks (10° ≤ 2θ ≤ 90°), sorted by position:
2θ/deg  I_rel  (hkl)
38.11  272  1 0 1
40.78  410  0 2 0
42.75  557  0 1 2
43.43  1000  1 1 1
76.07  177  1 3 1
82.29  189  1 2 3

For Zn15Tc, DFT lattice parameters and positions (PBE) gives the computed PXRD pattern in this record (Cu Kα X-rays).
Lines closer than 0.1° are merged.

Structural model:
a = 6.931 Å, b = 8.646 Å, c = 9.172 Å
α = 82.77°, β = 82.59°, γ = 66.87°
Space group P-1 (No. 2)
Asymmetric unit:
Zn1 0.009 0.099 0.373 [2 per cell]
Zn2 0.009 0.435 0.368 [2 per cell]
Zn3 0.027 0.748 0.373 [2 per cell]
Zn4 0.130 0.092 0.091 [2 per cell]
Zn5 0.137 0.403 0.088 [2 per cell]
Zn6 0.172 0.753 0.089 [2 per cell]
Zn7 0.259 0.114 0.805 [2 per cell]
Zn8 0.279 0.784 0.814 [2 per cell]
Zn9 0.289 0.437 0.824 [2 per cell]
Zn10 0.324 0.304 0.539 [2 per cell]
Zn11 0.326 0.970 0.537 [2 per cell]
Zn12 0.335 0.630 0.552 [2 per cell]
Zn13 0.363 0.161 0.283 [2 per cell]
Zn14 0.369 0.823 0.283 [2 per cell]
Zn15 0.373 0.482 0.253 [2 per cell]
Tc1 0.498 0.139 0.000 [2 per cell]

The 6 most intense peaks (10° ≤ 2θ ≤ 90°), sorted by position:
2θ/deg  I_rel  (hkl)
41.11  956  1 0 4
43.01  1000  3 0 1
43.09  704  2 0 -3
43.38  389  1 -3 1
43.61  297  0 3 3
44.99  391  3 3 2

For Zn16Tc, DFT lattice parameters and positions (PBE) gives the computed PXRD pattern in this record (Cu Kα X-rays).
Lines closer than 0.1° are merged.

Structural model:
a = 7.729 Å, b = 11.304 Å, c = 11.487 Å
α = 90.00°, β = 90.00°, γ = 90.00°
Space group Cmcm (No. 63)
Asymmetric unit:
Zn1 0.000 0.000 0.000 [4 per cell]
Zn2 0.000 0.180 0.140 [8 per cell]
Zn3 0.000 0.291 0.750 [4 per cell]
Zn4 0.000 0.387 0.036 [8 per cell]
Zn5 0.165 0.360 0.250 [8 per cell]
Zn6 0.166 0.189 0.572 [16 per cell]
Zn7 0.213 0.443 0.634 [16 per cell]
Tc1 0.000 0.047 0.750 [4 per cell]

The 6 most intense peaks (10° ≤ 2θ ≤ 90°), sorted by position:
2θ/deg  I_rel  (hkl)
39.11  578  2 0 4
40.31  929  2 4 1
41.21  687  1 3 4
42.37  593  2 2 4
42.48  837  0 2 5
43.07  1000  3 1 3

For ZnTc, DFT lattice parameters and positions (PBE) gives the computed PXRD pattern in this record (Cu Kα X-rays).
Lines closer than 0.1° are merged.

Structural model:
a = 2.7743 Å, b = 2.7743 Å, c = 8.7867 Å
α = 90.00°, β = 90.00°, γ = 120.00°
Space group P-3m1 (No. 164)
Asymmetric unit:
Zn1 0.3333 0.6667 0.3730 [2 per cell]
Tc1 0.3333 0.6667 0.8832 [2 per cell]

The 6 most intense peaks (10° ≤ 2θ ≤ 90°), sorted by position:
2θ/deg  I_rel  (hkl)
10.07  174  0 0 1
37.43  248  1 0 0
41.09  247  0 0 4
42.90  1000  0 1 2
67.53  165  1 1 0
82.19  182  1 1 4

For Zr4Zn3Tc, DFT lattice parameters and positions (PBE) gives the computed PXRD pattern in this record (Cu Kα X-rays).
Lines closer than 0.1° are merged.

Structural model:
a = 3.362 Å, b = 3.362 Å, c = 13.108 Å
α = 90.00°, β = 90.00°, γ = 90.00°
Space group P4/mmm (No. 123)
Asymmetric unit:
Zr1 0.000 0.000 0.120 [2 per cell]
Zr2 0.000 0.000 0.374 [2 per cell]
Zn1 0.500 0.500 0.249 [2 per cell]
Zn2 0.500 0.500 0.500 [1 per cell]
Tc1 0.500 0.500 0.000 [1 per cell]

The 6 most intense peaks (10° ≤ 2θ ≤ 90°), sorted by position:
2θ/deg  I_rel  (hkl)
37.85  522  1 1 0
38.36  1000  1 0 4
54.60  175  2 0 0
68.69  337  2 1 4
69.71  159  1 1 8
82.16  101  2 0 8

For Zr6ZnTc5, DFT lattice parameters and positions (PBE) gives the computed PXRD pattern in this record (Cu Kα X-rays).
Lines closer than 0.1° are merged.

Structural model:
a = 4.661 Å, b = 6.651 Å, c = 13.954 Å
α = 90.00°, β = 90.00°, γ = 90.00°
Space group Immm (No. 71)
Asymmetric unit:
Zr1 0.000 0.240 0.000 [4 per cell]
Zr2 0.000 0.254 0.330 [8 per cell]
Zn1 0.000 0.000 0.500 [2 per cell]
Tc1 0.000 0.000 0.167 [4 per cell]
Tc2 0.000 0.500 0.163 [4 per cell]
Tc3 0.000 0.500 0.500 [2 per cell]

The 6 most intense peaks (10° ≤ 2θ ≤ 90°), sorted by position:
2θ/deg  I_rel  (hkl)
38.48  1000  1 2 3
38.67  493  2 0 0
55.85  164  2 0 6
69.47  165  2 4 0
69.81  164  3 2 3
69.92  161  1 2 9